Li2CoCuO4: simulated powder XRD pattern (Cu Kα), based on a crystal structure in Alexandria, relaxed with GGA+U.
Neutral-atom scattering factors, no anomalous dispersion.

Structural model:
a = 5.7958 Å, b = 5.7958 Å, c = 5.7958 Å
α = 120.65°, β = 119.64°, γ = 89.75°
Positions (direct):
Li 0.0000 0.0000 0.0000
Li 0.5000 0.0000 0.0000
Li 0.5000 0.0000 0.5000
Li 0.5000 0.5000 0.5000
Co 0.0000 0.0000 0.5000
Co 0.0000 0.5000 0.0000
Cu 0.0000 0.5000 0.5000
Cu 0.5000 0.5000 0.0000
O 0.2210 0.7456 0.4754
O 0.2298 0.2544 0.9754
O 0.2358 0.2451 0.5094
O 0.2358 0.7264 0.9906
O 0.7642 0.2736 0.0094
O 0.7642 0.7549 0.4906
O 0.7702 0.7456 0.0246
O 0.7790 0.2544 0.5246

Largest 10 diffraction maxima, in order of rising 2θ, 10° ≤ 2θ ≤ 90°:
d (Å)	two_theta	I/Imax
4.753	18.7	100
4.704	18.9	98
2.477	36.3	46
2.471	36.4	17
2.456	36.6	25
2.376	37.9	23
2.352	38.3	22
2.054	44.1	48
2.044	44.3	95
1.449	64.3	52